Entry 1:
This entry pairs a crystal structure of Nd2B7Ru12 with its theoretical PXRD pattern. Radiation: Cu Ka. Structure: a structure optimized by DFT (GGA-PBE).

Crystal structure
```
data_Nd2B7Ru12
_chemical_formula_sum 'Nd2 B7 Ru12'
_cell_length_a 10.323
_cell_length_b 10.323
_cell_length_c 2.923
_cell_angle_alpha 90.00
_cell_angle_beta 90.00
_cell_angle_gamma 120.00
_symmetry_space_group_name_H-M 'P 1'
_symmetry_Int_Tables_number 1
_symmetry_space_group_name_Hall 'P 1'
loop_
_atom_site_label
_atom_site_type_symbol
_atom_site_fract_x
_atom_site_fract_y
_atom_site_fract_z
_atom_site_occupancy
Nd1 Nd 0.000 0.000 0.000 1
Nd2 Nd 0.333 0.667 0.500 1
B1 B 0.051 0.456 0.000 1
B2 B 0.240 0.236 0.500 1
B3 B 0.405 0.949 0.000 1
B4 B 0.544 0.595 0.000 1
B5 B 0.667 0.333 0.000 1
B6 B 0.764 0.004 0.500 1
B7 B 0.996 0.760 0.500 1
Ru1 Ru 0.074 0.320 0.500 1
Ru2 Ru 0.079 0.674 0.000 1
Ru3 Ru 0.246 0.926 0.500 1
Ru4 Ru 0.326 0.405 0.000 1
Ru5 Ru 0.363 0.176 0.000 1
Ru6 Ru 0.566 0.140 0.500 1
Ru7 Ru 0.575 0.434 0.500 1
Ru8 Ru 0.595 0.921 0.000 1
Ru9 Ru 0.680 0.754 0.500 1
Ru10 Ru 0.813 0.637 0.000 1
Ru11 Ru 0.824 0.187 0.000 1
Ru12 Ru 0.860 0.425 0.500 1
```

Largest 10 diffraction maxima, by intensity, 10° ≤ 2θ ≤ 80°:
| d/Å | I_rel |
| --- | --- |
| 2.211 | 100 |
| 2.235 | 44 |
| 2.479 | 32 |
| 3.379 | 29 |
| 2.543 | 26 |
| 1.891 | 22 |
| 1.679 | 18 |
| 1.462 | 16 |
| 2.581 | 15 |
| 2.051 | 13 |

---

Entry 2:
This entry pairs a crystal structure of NdB4Ru4 with its theoretical PXRD pattern. Radiation: Cu Ka. Structure: a structure optimized by DFT (GGA-PBE).

Crystal structure
```
data_NdB4Ru4
_chemical_formula_sum 'Nd2 B8 Ru8'
_cell_length_a 7.544
_cell_length_b 7.544
_cell_length_c 4.025
_cell_angle_alpha 90.00
_cell_angle_beta 90.00
_cell_angle_gamma 90.00
_symmetry_space_group_name_H-M 'P 1'
_symmetry_Int_Tables_number 1
_symmetry_space_group_name_Hall 'P 1'
loop_
_atom_site_label
_atom_site_type_symbol
_atom_site_fract_x
_atom_site_fract_y
_atom_site_fract_z
_atom_site_occupancy
Nd1 Nd 0.250 0.250 0.250 1
Nd2 Nd 0.750 0.750 0.750 1
B1 B 0.039 0.917 0.140 1
B2 B 0.083 0.539 0.640 1
B3 B 0.417 0.961 0.640 1
B4 B 0.461 0.583 0.140 1
B5 B 0.539 0.417 0.860 1
B6 B 0.583 0.039 0.360 1
B7 B 0.917 0.461 0.360 1
B8 B 0.961 0.083 0.860 1
Ru1 Ru 0.105 0.642 0.140 1
Ru2 Ru 0.142 0.895 0.640 1
Ru3 Ru 0.358 0.605 0.640 1
Ru4 Ru 0.395 0.858 0.140 1
Ru5 Ru 0.605 0.142 0.860 1
Ru6 Ru 0.642 0.395 0.360 1
Ru7 Ru 0.858 0.105 0.360 1
Ru8 Ru 0.895 0.358 0.860 1
```

Largest 10 diffraction maxima, by intensity, 10° ≤ 2θ ≤ 80°:
| d/Å | I_rel |
| --- | --- |
| 2.585 | 100 |
| 2.385 | 66 |
| 2.223 | 23 |
| 1.856 | 23 |
| 1.944 | 22 |
| 3.551 | 19 |
| 1.413 | 17 |
| 3.213 | 14 |
| 2.052 | 13 |
| 1.354 | 12 |

---

Entry 3:
This entry pairs a crystal structure of Nd5BTe4 with its theoretical PXRD pattern. Radiation: Cu Ka. Structure: a structure optimized by DFT (GGA-PBE).

Crystal structure
```
data_Nd5BTe4
_chemical_formula_sum 'Nd5 B1 Te4'
_cell_length_a 7.652
_cell_length_b 7.652
_cell_length_c 7.652
_cell_angle_alpha 99.67
_cell_angle_beta 99.67
_cell_angle_gamma 131.62
_symmetry_space_group_name_H-M 'P 1'
_symmetry_Int_Tables_number 1
_symmetry_space_group_name_Hall 'P 1'
loop_
_atom_site_label
_atom_site_type_symbol
_atom_site_fract_x
_atom_site_fract_y
_atom_site_fract_z
_atom_site_occupancy
Nd1 Nd 0.000 0.000 0.000 1
Nd2 Nd 0.207 0.374 0.649 1
Nd3 Nd 0.374 0.724 0.166 1
Nd4 Nd 0.558 0.207 0.834 1
Nd5 Nd 0.724 0.558 0.351 1
B1 B 0.437 0.437 0.000 1
Te1 Te 0.055 0.660 0.780 1
Te2 Te 0.275 0.055 0.396 1
Te3 Te 0.660 0.879 0.604 1
Te4 Te 0.879 0.275 0.220 1
```

Largest 10 diffraction maxima, by intensity, 10° ≤ 2θ ≤ 80°:
| d/Å | I_rel |
| --- | --- |
| 2.211 | 100 |
| 3.122 | 95 |
| 3.136 | 52 |
| 1.805 | 29 |
| 2.509 | 18 |
| 1.397 | 17 |
| 1.401 | 16 |
| 3.610 | 14 |
| 2.914 | 13 |
| 1.571 | 12 |

---

Entry 4:
This entry pairs a crystal structure of NdVB14 with its theoretical PXRD pattern. Radiation: Cu Ka. Structure: a structure optimized by DFT (GGA-PBE).

Crystal structure
```
data_NdVB14
_chemical_formula_sum 'Nd2 V2 B28'
_cell_length_a 7.414
_cell_length_b 7.414
_cell_length_c 7.414
_cell_angle_alpha 133.59
_cell_angle_beta 86.07
_cell_angle_gamma 112.28
_symmetry_space_group_name_H-M 'P 1'
_symmetry_Int_Tables_number 1
_symmetry_space_group_name_Hall 'P 1'
loop_
_atom_site_label
_atom_site_type_symbol
_atom_site_fract_x
_atom_site_fract_y
_atom_site_fract_z
_atom_site_occupancy
Nd1 Nd 0.382 0.132 0.250 1
Nd2 Nd 0.618 0.868 0.750 1
V1 V 0.000 0.000 0.500 1
V2 V 0.000 0.500 0.000 1
B1 B 0.006 0.133 0.873 1
B2 B 0.028 0.202 0.329 1
B3 B 0.028 0.699 0.826 1
B4 B 0.084 0.668 0.416 1
B5 B 0.197 0.529 0.667 1
B6 B 0.222 0.500 0.401 1
B7 B 0.222 0.821 0.722 1
B8 B 0.241 0.867 0.373 1
B9 B 0.248 0.332 0.916 1
B10 B 0.362 0.529 0.833 1
B11 B 0.373 0.202 0.674 1
B12 B 0.373 0.699 0.171 1
B13 B 0.401 0.179 0.901 1
B14 B 0.401 0.500 0.222 1
B15 B 0.599 0.500 0.778 1
B16 B 0.599 0.821 0.099 1
B17 B 0.627 0.301 0.829 1
B18 B 0.627 0.798 0.326 1
B19 B 0.638 0.471 0.167 1
B20 B 0.752 0.668 0.084 1
B21 B 0.759 0.133 0.627 1
B22 B 0.778 0.179 0.278 1
B23 B 0.778 0.500 0.599 1
B24 B 0.803 0.471 0.333 1
B25 B 0.916 0.332 0.584 1
B26 B 0.972 0.301 0.174 1
B27 B 0.972 0.798 0.671 1
B28 B 0.994 0.867 0.127 1
```

Largest 10 diffraction maxima, by intensity, 10° ≤ 2θ ≤ 80°:
| d/Å | I_rel |
| --- | --- |
| 5.419 | 100 |
| 2.669 | 96 |
| 3.221 | 88 |
| 2.190 | 85 |
| 3.581 | 73 |
| 2.465 | 64 |
| 2.264 | 46 |
| 4.770 | 34 |
| 6.570 | 27 |
| 1.703 | 26 |

---

Entry 5:
This entry pairs a crystal structure of NdBW with its theoretical PXRD pattern. Radiation: Cu Ka. Structure: a structure optimized by DFT (GGA-PBE).

Crystal structure
```
data_NdBW
_chemical_formula_sum 'Nd2 B2 W2'
_cell_length_a 3.701
_cell_length_b 3.701
_cell_length_c 8.728
_cell_angle_alpha 90.00
_cell_angle_beta 90.00
_cell_angle_gamma 90.00
_symmetry_space_group_name_H-M 'P 1'
_symmetry_Int_Tables_number 1
_symmetry_space_group_name_Hall 'P 1'
loop_
_atom_site_label
_atom_site_type_symbol
_atom_site_fract_x
_atom_site_fract_y
_atom_site_fract_z
_atom_site_occupancy
Nd1 Nd 0.250 0.250 0.184 1
Nd2 Nd 0.750 0.750 0.816 1
B1 B 0.250 0.250 0.669 1
B2 B 0.750 0.750 0.331 1
W1 W 0.250 0.750 0.500 1
W2 W 0.750 0.250 0.500 1
```

Largest 10 diffraction maxima, by intensity, 10° ≤ 2θ ≤ 80°:
| d/Å | I_rel |
| --- | --- |
| 8.728 | 100 |
| 2.245 | 75 |
| 2.507 | 72 |
| 2.909 | 46 |
| 3.408 | 45 |
| 1.561 | 30 |
| 1.851 | 29 |
| 2.823 | 23 |
| 1.452 | 22 |
| 1.676 | 15 |

---

Entry 6:
This entry pairs a crystal structure of NdB4W with its theoretical PXRD pattern. Radiation: Cu Ka. Structure: a structure optimized by DFT (GGA-PBE).

Crystal structure
```
data_NdB4W
_chemical_formula_sum 'Nd4 B16 W4'
_cell_length_a 6.136
_cell_length_b 11.867
_cell_length_c 3.701
_cell_angle_alpha 90.00
_cell_angle_beta 90.00
_cell_angle_gamma 90.00
_symmetry_space_group_name_H-M 'P 1'
_symmetry_Int_Tables_number 1
_symmetry_space_group_name_Hall 'P 1'
loop_
_atom_site_label
_atom_site_type_symbol
_atom_site_fract_x
_atom_site_fract_y
_atom_site_fract_z
_atom_site_occupancy
Nd1 Nd 0.125 0.150 0.000 1
Nd2 Nd 0.375 0.650 0.000 1
Nd3 Nd 0.625 0.350 0.000 1
Nd4 Nd 0.875 0.850 0.000 1
B1 B 0.025 0.691 0.500 1
B2 B 0.112 0.546 0.500 1
B3 B 0.137 0.968 0.500 1
B4 B 0.218 0.815 0.500 1
B5 B 0.282 0.315 0.500 1
B6 B 0.363 0.468 0.500 1
B7 B 0.388 0.046 0.500 1
B8 B 0.475 0.191 0.500 1
B9 B 0.525 0.809 0.500 1
B10 B 0.612 0.954 0.500 1
B11 B 0.637 0.532 0.500 1
B12 B 0.718 0.685 0.500 1
B13 B 0.782 0.185 0.500 1
B14 B 0.863 0.032 0.500 1
B15 B 0.888 0.454 0.500 1
B16 B 0.975 0.309 0.500 1
W1 W 0.128 0.417 0.000 1
W2 W 0.372 0.917 0.000 1
W3 W 0.628 0.083 0.000 1
W4 W 0.872 0.583 0.000 1
```

Largest 10 diffraction maxima, by intensity, 10° ≤ 2θ ≤ 80°:
| d/Å | I_rel |
| --- | --- |
| 3.701 | 100 |
| 2.316 | 97 |
| 2.969 | 81 |
| 2.028 | 51 |
| 2.424 | 37 |
| 2.166 | 37 |
| 2.671 | 29 |
| 1.570 | 25 |
| 1.850 | 22 |
| 1.533 | 20 |